For K2AgMoO4, a crystal structure in Alexandria, relaxed with PBE+U gives the computed PXRD pattern in this record (CuKα).
Kinematic intensities with the Lorentz-polarization factor, no thermal factor.

Structure:
Lattice parameters (Å, degrees): 5.968 5.968 5.968 118.90 118.90 91.92
Sites, in units of the cell vectors:
K 0.000 0.000 0.000
K 0.750 0.250 0.500
Ag 0.500 0.500 0.000
Mo 0.250 0.750 0.500
O 0.185 0.645 0.116
O 0.355 0.471 0.540
O 0.529 0.069 0.884
O 0.931 0.815 0.460

Most intense lines, 10° ≤ 2θ ≤ 80°, by intensity:
| Position (°2θ) | Rel. int. |
| --- | --- |
| 29.96 | 100 |
| 18.11 | 44 |
| 52.55 | 35 |
| 29.44 | 34 |
| 42.12 | 22 |
| 53.52 | 22 |
| 34.79 | 10 |
| 62.26 | 9 |
| 69.53 | 8 |
| 69.25 | 8 |